[1]
For Zn2Cl5O2, a DFT-relaxed cell (PBE, the Materials Project) gives the computed powder diffractogram in this record (Cu Kα, 1.54184 Å).
Peak positions follow from Bragg's law for the DFT cell and can differ from measured ones.

Cell and atoms:
```
data_Zn2Cl5O2
_chemical_formula_sum 'Zn16 Cl40 O16'
_cell_length_a 9.6230
_cell_length_b 22.1721
_cell_length_c 9.0585
_cell_angle_alpha 90.00
_cell_angle_beta 90.00
_cell_angle_gamma 90.00
_space_group_name_H-M_alt 'F d d 2'
_space_group_IT_number 43
_space_group_name_Hall 'F 2 -2d'
loop_
_atom_site_label
_atom_site_fract_x
_atom_site_fract_y
_atom_site_fract_z
_atom_site_occupancy
Zn1 0.0132 0.0856 0.0000 1
Cl1 0.0000 0.0000 0.8554 1
Cl2 0.0135 0.3339 0.3388 1
Cl3 0.1048 0.1495 0.4294 1
O1 0.0611 0.0065 0.4103 1
```

Main lines, by intensity (5° ≤ 2θ ≤ 70°):
14.0°, 6.322 Å, I 100, (1 1 1); 31.3°, 2.860 Å, I 71, (0 6 2); 24.2°, 3.680 Å, I 47, (1 5 1); 27.0°, 3.298 Å, I 46, (2 0 2); 29.8°, 2.996 Å, I 26, (3 1 1); 16.0°, 5.543 Å, I 26, (0 4 0); 51.0°, 1.792 Å, I 23, (2 6 4); 20.1°, 4.414 Å, I 21, (2 2 0); 49.5°, 1.842 Å, I 21, (4 6 2); 46.1°, 1.970 Å, I 18, (3 5 3); 28.2°, 3.161 Å, I 16, (2 2 2); 21.2°, 4.193 Å, I 15, (0 2 2)

[2]
For NaGa3Te5, a DFT-relaxed cell (PBE, the Materials Project) gives the computed powder diffractogram in this record (Cu Kα, 1.54184 Å).
Peak positions follow from Bragg's law for the DFT cell and can differ from measured ones.

Cell and atoms:
```
data_NaGa3Te5
_chemical_formula_sum 'Na12 Ga36 Te60'
_cell_length_a 14.9530
_cell_length_b 14.9530
_cell_length_c 18.0773
_cell_angle_alpha 90.00
_cell_angle_beta 90.00
_cell_angle_gamma 120.00
_space_group_name_H-M_alt 'R 3 2'
_space_group_IT_number 155
_space_group_name_Hall 'R 3 2"'
loop_
_atom_site_label
_atom_site_fract_x
_atom_site_fract_y
_atom_site_fract_z
_atom_site_occupancy
Na1 0.0000 0.0000 0.0000 1
Na2 0.0000 0.2564 0.5000 1
Ga1 0.0048 0.5910 0.7481 1
Ga2 0.0752 0.8853 0.2634 1
Te1 0.0000 0.0000 0.3275 1
Te2 0.0000 0.4228 0.0000 1
Te3 0.0000 0.8265 0.5000 1
Te4 0.0344 0.5691 0.3957 1
Te5 0.0644 0.1917 0.1225 1
```

Main lines, by intensity (5° ≤ 2θ ≤ 70°):
25.3°, 3.519 Å, I 100, (1 3 1); 28.0°, 3.182 Å, I 62, (4 0 1); 43.7°, 2.073 Å, I 43, (5 2 0); 25.6°, 3.482 Å, I 40, (0 1 5); 46.3°, 1.962 Å, I 35, (1 6 1); 26.9°, 3.320 Å, I 29, (2 1 4); 43.9°, 2.061 Å, I 23, (4 1 6); 11.8°, 7.476 Å, I 22, (1 1 0); 26.7°, 3.338 Å, I 20, (3 1 2); 32.0°, 2.795 Å, I 18, (1 1 6); 47.5°, 1.913 Å, I 14, (3 1 8); 28.3°, 3.157 Å, I 13, (2 0 5)